Record 1
Cu2TeOs2: calculated powder XRD pattern (Cu Kα (weighted mean of Kα1 and Kα2)), based on a crystal structure in Alexandria, relaxed with PBE.
Kinematic intensities with the Lorentz-polarization factor, no thermal factor.

Crystal structure
a = 7.5744 Å, b = 7.5744 Å, c = 2.7891 Å
α = 90.00°, β = 90.00°, γ = 90.00°
Space group P4/mbm (No. 127)
Symmetry-distinct sites (fractional):
Cu 0.1750 0.3250 0.0000 x4
Te 0.0000 0.0000 0.0000 x2
Os 0.1165 0.6165 0.5000 x4

Top 10 peaks for 10 to 80 degrees two-theta, by intensity:
| h k l | two_theta | d (Å) | Rel. int. |
| --- | --- | --- | --- |
| 2 1 1 | 41.96 | 2.153 | 100 |
| 3 1 0 | 37.55 | 2.395 | 68 |
| 1 1 1 | 36.32 | 2.474 | 56 |
| 3 2 0 | 43.06 | 2.101 | 39 |
| 3 2 1 | 54.70 | 1.678 | 31 |
| 4 0 1 | 58.95 | 1.567 | 31 |
| 2 1 0 | 26.31 | 3.387 | 30 |
| 1 1 0 | 16.55 | 5.356 | 25 |
| 3 1 2 | 79.54 | 1.205 | 15 |
| 5 1 0 | 62.53 | 1.485 | 13 |



Record 2
Tl2Ni3S2: calculated powder XRD pattern (Cu Kα (weighted mean of Kα1 and Kα2)), based on a crystal structure in Alexandria, relaxed with PBE.
Kinematic intensities with the Lorentz-polarization factor, no thermal factor.

Crystal structure
a = 5.5502 Å, b = 5.5502 Å, c = 14.0269 Å
α = 90.00°, β = 90.00°, γ = 120.00°
Space group R-3m (No. 166, hexagonal axes)
Symmetry-distinct sites (fractional):
Tl 0.0000 0.0000 0.0000 x3
Tl 0.0000 0.0000 0.5000 x3
Ni 0.0000 0.5000 0.0000 x9
S 0.0000 0.0000 0.2287 x6

Top 10 peaks for 10 to 80 degrees two-theta, by intensity:
| h k l | two_theta | d (Å) | Rel. int. |
| --- | --- | --- | --- |
| 0 1 2 | 22.42 | 3.965 | 100 |
| 2 0 2 | 39.64 | 2.274 | 96 |
| 1 0 4 | 31.58 | 2.833 | 95 |
| 0 2 4 | 45.77 | 1.982 | 94 |
| 1 1 0 | 32.26 | 2.775 | 94 |
| 0 0 6 | 38.51 | 2.338 | 37 |
| 2 1 4 | 57.10 | 1.613 | 36 |
| 2 2 0 | 67.50 | 1.388 | 30 |
| 2 0 8 | 65.95 | 1.416 | 29 |
| 1 1 6 | 51.08 | 1.788 | 28 |



Record 3
Sm3NiHg: calculated powder XRD pattern (Cu Kα (weighted mean of Kα1 and Kα2)), based on a crystal structure in Alexandria, relaxed with PBE.
Kinematic intensities with the Lorentz-polarization factor, no thermal factor.

Crystal structure
a = 10.1069 Å, b = 6.8425 Å, c = 8.6557 Å
α = 90.00°, β = 113.16°, γ = 90.00°
Space group P2_1/c (No. 14)
Symmetry-distinct sites (fractional):
Sm 0.0891 0.0672 0.2195 x4
Sm 0.3479 0.1634 0.6245 x4
Sm 0.3491 0.6747 0.4826 x4
Ni 0.4067 0.0363 0.3444 x4
Hg 0.1078 0.6506 0.0884 x4

Top 10 peaks for 10 to 80 degrees two-theta, by intensity:
| h k l | two_theta | d (Å) | Rel. int. |
| --- | --- | --- | --- |
| 2 2 1 | 36.93 | 2.434 | 100 |
| 3 1 -2 | 31.63 | 2.829 | 88 |
| 1 1 2 | 30.63 | 2.919 | 83 |
| 1 1 -3 | 33.92 | 2.643 | 67 |
| 4 0 0 | 38.75 | 2.324 | 62 |
| 1 2 -1 | 28.53 | 3.129 | 57 |
| 2 2 -1 | 31.80 | 2.814 | 50 |
| 2 1 -4 | 43.91 | 2.062 | 49 |
| 3 0 -2 | 28.76 | 3.104 | 49 |
| 1 3 -1 | 41.26 | 2.188 | 48 |



Record 4
Y2Mn16V: calculated powder XRD pattern (Cu Kα (weighted mean of Kα1 and Kα2)), based on a crystal structure in Alexandria, relaxed with PBE.
Kinematic intensities with the Lorentz-polarization factor, no thermal factor.

Crystal structure
a = 8.6657 Å, b = 8.6657 Å, c = 11.6822 Å
α = 90.00°, β = 90.00°, γ = 120.00°
Space group R3m (No. 160, hexagonal axes)
Symmetry-distinct sites (fractional):
Y 0.0000 0.0000 0.0000 x3
Y 0.0000 0.0000 0.2928 x3
Mn 0.0000 0.0000 0.7482 x3
Mn 0.0005 0.5002 0.1460 x9
Mn 0.0007 0.2768 0.6471 x18
Mn 0.0134 0.5067 0.5083 x9
Mn 0.1725 0.3451 0.1170 x9
V 0.0000 0.0000 0.5509 x3

Top 10 peaks for 10 to 80 degrees two-theta, by intensity:
| h k l | two_theta | d (Å) | Rel. int. |
| --- | --- | --- | --- |
| 3 0 3 | 42.97 | 2.105 | 100 |
| 2 2 0 | 41.69 | 2.166 | 92 |
| 0 2 4 | 39.08 | 2.305 | 61 |
| 2 2 3 | 48.06 | 1.893 | 50 |
| 3 0 0 | 35.90 | 2.502 | 37 |
| 2 0 5 | 45.75 | 1.983 | 36 |
| 0 0 6 | 46.65 | 1.947 | 24 |
| 2 1 4 | 44.53 | 2.035 | 22 |
| 1 1 3 | 30.87 | 2.896 | 21 |
| 1 4 3 | 61.42 | 1.510 | 19 |



Record 5
Ni2Mo3: calculated powder XRD pattern (Cu Kα (weighted mean of Kα1 and Kα2)), based on a crystal structure in Alexandria, relaxed with PBE.
Kinematic intensities with the Lorentz-polarization factor, no thermal factor.

Crystal structure
a = 9.3326 Å, b = 13.0596 Å, c = 4.5924 Å
α = 90.00°, β = 90.00°, γ = 90.00°
Space group Fdd2 (No. 43)
Symmetry-distinct sites (fractional):
Ni 0.0255 0.2954 0.0000 x16
Mo 0.0000 0.0000 0.4478 x8
Mo 0.0454 0.3949 0.4700 x16

Top 10 peaks for 10 to 80 degrees two-theta, by intensity:
| h k l | two_theta | d (Å) | Rel. int. |
| --- | --- | --- | --- |
| 1 5 1 | 40.91 | 2.206 | 100 |
| 2 0 2 | 43.95 | 2.060 | 68 |
| 3 5 1 | 49.72 | 1.834 | 38 |
| 4 0 0 | 38.59 | 2.333 | 29 |
| 3 3 1 | 40.70 | 2.217 | 28 |
| 4 2 0 | 41.08 | 2.197 | 27 |
| 1 5 3 | 72.25 | 1.308 | 16 |
| 2 10 0 | 75.61 | 1.258 | 13 |
| 2 2 2 | 46.20 | 1.965 | 13 |
| 6 2 2 | 75.20 | 1.263 | 11 |



Record 6
Sc3Si3Pt: calculated powder XRD pattern (Cu Kα (weighted mean of Kα1 and Kα2)), based on a crystal structure in Alexandria, relaxed with PBE.
Kinematic intensities with the Lorentz-polarization factor, no thermal factor.

Crystal structure
a = 11.7100 Å, b = 4.0372 Å, c = 10.2503 Å
α = 90.00°, β = 90.00°, γ = 90.00°
Space group Pnma (No. 62)
Symmetry-distinct sites (fractional):
Sc 0.0208 0.2500 0.1244 x4
Sc 0.0993 0.2500 0.4200 x4
Sc 0.1991 0.7500 0.6578 x4
Si 0.0432 0.2500 0.6878 x4
Si 0.1555 0.7500 0.2473 x4
Si 0.1751 0.7500 0.0174 x4
Pt 0.1783 0.2500 0.8865 x4

Top 10 peaks for 10 to 80 degrees two-theta, by intensity:
| h k l | two_theta | d (Å) | Rel. int. |
| --- | --- | --- | --- |
| 3 1 2 | 36.50 | 2.461 | 100 |
| 1 0 2 | 18.90 | 4.695 | 54 |
| 1 1 1 | 24.89 | 3.577 | 34 |
| 1 1 3 | 35.26 | 2.546 | 32 |
| 0 2 0 | 44.90 | 2.019 | 30 |
| 1 0 1 | 11.47 | 7.713 | 30 |
| 2 1 4 | 44.65 | 2.029 | 27 |
| 2 1 0 | 26.82 | 3.324 | 26 |
| 2 0 0 | 15.13 | 5.855 | 24 |
| 4 0 3 | 40.58 | 2.223 | 23 |